Structure and calculated powder diffraction line list of Sr2LaMnCoO7 (a structure optimized by DFT (GGA+U); Cu Kα (λ = 1.5418 Å)).
Lines closer than 0.1° are merged.

Cell and atoms:
```
data_Sr2LaMnCoO7
_chemical_formula_sum 'Sr4 La2 Mn2 Co2 O14'
_cell_length_a 3.884
_cell_length_b 3.884
_cell_length_c 20.202
_cell_angle_alpha 90.00
_cell_angle_beta 90.00
_cell_angle_gamma 90.00
_symmetry_space_group_name_H-M 'I 4 m m'
_symmetry_Int_Tables_number 107
_symmetry_space_group_name_Hall 'I 4 -2'
loop_
_atom_site_label
_atom_site_type_symbol
_atom_site_fract_x
_atom_site_fract_y
_atom_site_fract_z
Sr1 Sr 0.000 0.000 0.000
Sr2 Sr 0.000 0.000 0.180
La1 La 0.000 0.000 0.815
Mn1 Mn 0.000 0.000 0.595
Co1 Co 0.000 0.000 0.402
O1 O 0.000 0.000 0.302
O2 O 0.000 0.000 0.499
O3 O 0.000 0.000 0.698
O4 O 0.000 0.500 0.096
O5 O 0.000 0.500 0.396
```

Top 8 peaks for 15 to 90 degrees two-theta, sorted by position:
2θ = 26.48°, 3.366 Å, intensity 18, (0 0 6)
2θ = 31.96°, 2.800 Å, intensity 100, (1 0 5)
2θ = 32.60°, 2.746 Å, intensity 68, (1 1 0)
2θ = 42.48°, 2.128 Å, intensity 24, (1 1 6)
2θ = 46.77°, 1.942 Å, intensity 48, (2 0 0)
2θ = 57.78°, 1.596 Å, intensity 37, (2 1 5)
2θ = 66.82°, 1.400 Å, intensity 14, (2 0 10)
2θ = 68.30°, 1.373 Å, intensity 16, (2 2 0)